Computed X-ray diffraction stick pattern
Compound: La2Th2Te7
Radiation: λ = 1.5418 Å (Cu Kα)
Structure: a cell relaxed with PBE
Peak positions follow from Bragg's law for the DFT cell and can differ from measured ones.

The 10 most intense peaks (10 to 80 degrees two-theta), low angle first:
index  2θ/deg  intensity
1 0 2  20.30  49
2 0 0  33.45  100
2 1 2  39.44  27
2 2 0  48.08  12
3 0 2  52.65  11
2 0 8  59.71  11
3 1 4  59.82  25
3 2 2  63.87  7
2 2 8  70.22  7
4 1 2  74.06  6

Cell and atoms:
```
La2Th2Te7
1.0
5.3524 0.0000 0.0000
0.0000 5.3524 0.0000
0.0000 0.0000 15.1897
La Th Te
2 2 7
direct
0.0000 0.5000 0.1386
0.5000 0.0000 0.8614
0.0000 0.5000 0.6243
0.5000 0.0000 0.3757
0.0000 0.0000 0.2461
0.0000 0.0000 0.5000
0.0000 0.0000 0.7539
0.5000 0.5000 0.0000
0.5000 0.5000 0.2590
0.5000 0.5000 0.5000
0.5000 0.5000 0.7410
```